This entry pairs a crystal structure of Li3In4Ag2Au2 with its theoretical powder X-ray diffraction pattern. Radiation: Cu Kα, 1.54184 Å. Structure: a structure optimized by DFT (PBE).
Peak positions follow from Bragg's law for the DFT cell and can differ from measured ones.

Most intense lines, 10° ≤ 2θ ≤ 80°, sorted by position:
Position (°2θ)  I (rel.)  (hkl)
21.62  80  1 0 0
23.06  7  1 0 1
37.92  84  1 1 0
39.05  100  1 0 4
44.07  12  2 0 0
50.51  11  1 1 4
55.56  35  0 2 4
59.51  10  2 1 0
68.49  14  3 0 0
69.24  36  2 1 4
71.48  13  0 1 8
79.81  8  1 1 8

Structural model:
a = 4.7458 Å, b = 4.7458 Å, c = 11.1487 Å
α = 90.00°, β = 90.00°, γ = 120.00°
Space group P-3m1 (No. 164)
Unique sites:
1 Li 0.0000 0.0000 0.0000 [1 per cell]
2 Li 0.0000 0.0000 0.2625 [2 per cell]
3 In 0.3333 0.6667 0.4234 [2 per cell]
4 In 0.3333 0.6667 0.9167 [2 per cell]
5 Ag 0.3333 0.6667 0.6707 [2 per cell]
6 Au 0.3333 0.6667 0.1709 [2 per cell]